The following is a computed powder XRD pattern of Sr2Cu3Sn4Au. It was derived from DFT lattice parameters and positions (PBE), using Cu Kα, 1.54184 Å.
Kinematic intensities with the Lorentz-polarization factor, no thermal factor.

Main lines, in order of falling intensity (2θ = 15–90°):
d_spacing  intensity
2.816  100
2.330  66
2.094  44
2.857  38
1.422  25
1.648  23
1.806  22
5.423  22

Structural model:
```
Sr2Cu3Sn4Au
1.0
4.6604 0.0000 0.0000
0.0000 4.6604 0.0000
0.0000 0.0000 10.8463
Sr Cu Sn Au
2 3 4 1
Direct
0.0000 0.5000 0.2425 Sr
0.5000 0.0000 0.7575 Sr
0.0000 0.0000 0.0000 Cu
0.0000 0.5000 0.6271 Cu
0.5000 0.0000 0.3729 Cu
0.0000 0.0000 0.5000 Sn
0.0000 0.5000 0.8673 Sn
0.5000 0.0000 0.1327 Sn
0.5000 0.5000 0.5000 Sn
0.5000 0.5000 0.0000 Au
```

The following is a computed powder XRD pattern of SrCu5Au7. It was derived from DFT lattice parameters and positions (PBE), using Cu Kα, 1.54184 Å.
Kinematic intensities with the Lorentz-polarization factor, no thermal factor.

Main lines, in order of falling intensity (2θ = 15–90°):
d_spacing  intensity
2.298  100
2.295  98
2.047  91
2.649  90
2.056  76
2.636  62
3.249  51
1.327  47

Structural model:
```
SrCu5Au7
1.0
-2.6356 4.5911 4.6027
2.6356 -4.5911 4.6027
2.6356 4.5911 -4.6027
Sr Cu Au
1 5 7
Direct
0.0000 0.0000 0.0000 Sr
0.0080 0.0015 0.5041 Cu
0.0080 0.5039 0.0064 Cu
0.2360 0.7360 0.5000 Cu
0.4974 0.0015 0.9936 Cu
0.4974 0.5039 0.4959 Cu
0.2183 0.5070 0.7114 Au
0.3389 0.3389 0.0000 Au
0.3427 0.9981 0.3446 Au
0.6534 0.9981 0.6554 Au
0.6551 0.6551 0.0000 Au
0.7773 0.2773 0.5000 Au
0.7956 0.5070 0.2886 Au
```

The following is a computed powder XRD pattern of SrCu2Au2. It was derived from DFT lattice parameters and positions (PBE), using Cu Kα, 1.54184 Å.
Kinematic intensities with the Lorentz-polarization factor, no thermal factor.

Main lines, in order of falling intensity (2θ = 15–90°):
d_spacing  intensity
2.357  100
2.481  43
2.393  39
3.385  34
1.353  23
1.602  21
1.836  20
1.568  19

Structural model:
```
SrCu2Au2
1.0
7.5686 0.0000 0.0000
0.0000 7.5686 0.0000
0.0000 0.0000 3.2847
Sr Cu Au
2 4 4
Direct
0.0000 0.0000 0.0000 Sr
0.5000 0.5000 0.0000 Sr
0.1168 0.3832 0.0000 Cu
0.3832 0.8832 0.0000 Cu
0.6168 0.1168 0.0000 Cu
0.8832 0.6168 0.0000 Cu
0.1735 0.6735 0.5000 Au
0.3265 0.1735 0.5000 Au
0.6735 0.8265 0.5000 Au
0.8265 0.3265 0.5000 Au
```

The following is a computed powder XRD pattern of Sr2Cu5Au12. It was derived from DFT lattice parameters and positions (PBE), using Cu Kα, 1.54184 Å.
Kinematic intensities with the Lorentz-polarization factor, no thermal factor.

Main lines, in order of falling intensity (2θ = 15–90°):
d_spacing  intensity
2.352  100
2.103  59
4.709  40
2.341  30
2.661  27
2.096  19
2.719  17
1.353  14

Structural model:
```
Sr2Cu5Au12
1.0
4.7091 2.7188 4.6812
-4.7091 2.7188 4.6812
0.0000 -5.4376 4.6812
Sr Cu Au
2 5 12
Direct
0.1554 0.1554 0.1554 Sr
0.8446 0.8446 0.8446 Sr
0.0000 0.5000 0.5000 Cu
0.4090 0.4090 0.4090 Cu
0.5000 0.0000 0.5000 Cu
0.5000 0.5000 0.0000 Cu
0.5910 0.5910 0.5910 Cu
0.1648 0.1648 0.6309 Au
0.1648 0.6309 0.1648 Au
0.1998 0.5000 0.8002 Au
0.1998 0.8002 0.5000 Au
0.3691 0.8352 0.8352 Au
0.5000 0.1998 0.8002 Au
0.5000 0.8002 0.1998 Au
0.6309 0.1648 0.1648 Au
0.8002 0.1998 0.5000 Au
0.8002 0.5000 0.1998 Au
0.8352 0.3691 0.8352 Au
0.8352 0.8352 0.3691 Au
```

The following is a computed powder XRD pattern of Sr3CuAu2. It was derived from DFT lattice parameters and positions (PBE), using Cu Kα, 1.54184 Å.
Kinematic intensities with the Lorentz-polarization factor, no thermal factor.

Main lines, in order of falling intensity (2θ = 15–90°):
d_spacing  intensity
3.094  100
2.762  88
2.246  87
4.481  85
3.003  84
2.387  77
2.183  62
2.522  62

Structural model:
```
Sr3CuAu2
1.0
12.5551 0.0000 0.0000
0.0000 4.4913 0.0000
0.0000 0.0000 12.7955
Sr Cu Au
12 4 8
Direct
0.0549 0.2500 0.1259 Sr
0.1203 0.7500 0.5583 Sr
0.2117 0.2500 0.8055 Sr
0.2883 0.7500 0.3055 Sr
0.3797 0.2500 0.0583 Sr
0.4451 0.7500 0.6259 Sr
0.5549 0.2500 0.3741 Sr
0.6203 0.7500 0.9417 Sr
0.7117 0.2500 0.6945 Sr
0.7883 0.7500 0.1945 Sr
0.8797 0.2500 0.4417 Sr
0.9451 0.7500 0.8741 Sr
0.1251 0.2500 0.3735 Cu
0.3749 0.7500 0.8735 Cu
0.6251 0.2500 0.1265 Cu
0.8749 0.7500 0.6265 Cu
0.0241 0.7500 0.3154 Au
0.1939 0.7500 0.9897 Au
0.3061 0.2500 0.4897 Au
0.4759 0.2500 0.8154 Au
0.5241 0.7500 0.1846 Au
0.6939 0.7500 0.5103 Au
0.8061 0.2500 0.0103 Au
0.9759 0.2500 0.6846 Au
```

The following is a computed powder XRD pattern of Sr2CuAu. It was derived from DFT lattice parameters and positions (PBE), using Cu Kα, 1.54184 Å.
Kinematic intensities with the Lorentz-polarization factor, no thermal factor.

Main lines, in order of falling intensity (2θ = 15–90°):
d_spacing  intensity
2.461  100
3.072  95
2.447  48
2.932  44
5.817  41
2.264  34
2.241  33
4.182  30

Structural model:
```
Sr2CuAu
1.0
6.2325 0.0000 0.0000
0.0000 4.5277 0.0000
-3.0133 0.0000 8.3649
Sr Cu Au
4 2 2
Direct
0.2098 0.2500 0.4299 Sr
0.2890 0.7500 0.0703 Sr
0.7110 0.2500 0.9297 Sr
0.7902 0.7500 0.5701 Sr
0.3452 0.7500 0.7179 Cu
0.6548 0.2500 0.2821 Cu
0.1521 0.2500 0.7825 Au
0.8479 0.7500 0.2175 Au
```

The following is a computed powder XRD pattern of Sr2ZnCuAu6. It was derived from DFT lattice parameters and positions (PBE), using Cu Kα, 1.54184 Å.
Kinematic intensities with the Lorentz-polarization factor, no thermal factor.

Main lines, in order of falling intensity (2θ = 15–90°):
d_spacing  intensity
2.864  100
2.480  77
1.754  55
1.495  44
1.109  26
4.960  24
1.138  19
1.432  19

Structural model:
```
Sr2ZnCuAu6
1.0
0.0000 4.9598 4.9598
4.9598 0.0000 4.9598
4.9598 4.9598 0.0000
Sr Zn Cu Au
2 1 1 6
Direct
0.2500 0.2500 0.2500 Sr
0.7500 0.7500 0.7500 Sr
0.0000 0.0000 0.0000 Zn
0.5000 0.5000 0.5000 Cu
0.2515 0.2515 0.7485 Au
0.2515 0.7485 0.2515 Au
0.2515 0.7485 0.7485 Au
0.7485 0.2515 0.2515 Au
0.7485 0.2515 0.7485 Au
0.7485 0.7485 0.2515 Au
```

The following is a computed powder XRD pattern of SrZnCuAu6. It was derived from DFT lattice parameters and positions (PBE), using Cu Kα, 1.54184 Å.
Kinematic intensities with the Lorentz-polarization factor, no thermal factor.

Main lines, in order of falling intensity (2θ = 15–90°):
d_spacing  intensity
2.169  100
3.703  72
2.675  69
4.337  37
2.151  31
2.141  24
3.103  21
1.860  19

Structural model:
```
SrZnCuAu6
1.0
-3.4159 4.3026 7.4055
3.4159 -4.3026 7.4055
3.4159 4.3026 -7.4055
Sr Zn Cu Au
2 2 2 12
Direct
0.3352 0.0852 0.2500 Sr
0.6648 0.9148 0.7500 Sr
0.0000 0.5000 0.5000 Zn
0.5000 0.5000 0.0000 Zn
0.0000 0.0000 0.5000 Cu
0.0000 0.5000 0.0000 Cu
0.1254 0.4323 0.2670 Au
0.1254 0.8584 0.6931 Au
0.1265 0.8765 0.2500 Au
0.3347 0.1416 0.7670 Au
0.3347 0.5677 0.1931 Au
0.3661 0.6161 0.7500 Au
0.6339 0.3839 0.2500 Au
0.6653 0.4323 0.8069 Au
0.6653 0.8584 0.2330 Au
0.8735 0.1235 0.7500 Au
0.8746 0.1416 0.3069 Au
0.8746 0.5677 0.7330 Au
```

The following is a computed powder XRD pattern of Tb4Cu2Au. It was derived from DFT lattice parameters and positions (PBE), using Cu Kα, 1.54184 Å.
Kinematic intensities with the Lorentz-polarization factor, no thermal factor.

Main lines, in order of falling intensity (2θ = 15–90°):
d_spacing  intensity
2.623  100
2.439  100
2.334  91
2.881  89
2.858  82
2.708  66
2.643  60
2.516  60

Structural model:
```
Tb4Cu2Au
1.0
6.8381 0.0000 0.0000
-2.1217 7.5248 0.0000
-2.4932 -3.5619 6.6005
Tb Cu Au
8 4 2
Direct
0.0000 0.0000 0.0000 Tb
0.0106 0.4801 0.7935 Tb
0.2853 0.5102 0.2458 Tb
0.3484 0.8410 0.7173 Tb
0.4091 0.1397 0.4880 Tb
0.5945 0.5731 0.9429 Tb
0.7329 0.3267 0.2516 Tb
0.8618 0.9569 0.4828 Tb
0.0493 0.7467 0.2320 Cu
0.1761 0.3744 0.5101 Cu
0.2922 0.2113 0.8606 Cu
0.7391 0.2258 0.8811 Cu
0.4284 0.8748 0.1264 Au
0.6858 0.6287 0.6073 Au
```

The following is a computed powder XRD pattern of TbCuAu. It was derived from DFT lattice parameters and positions (PBE), using Cu Kα, 1.54184 Å.
Kinematic intensities with the Lorentz-polarization factor, no thermal factor.

Main lines, in order of falling intensity (2θ = 15–90°):
d_spacing  intensity
2.264  100
2.969  63
3.501  31
2.157  29
2.046  25
2.733  22
1.485  17
1.265  15

Structural model:
```
TbCuAu
1.0
4.0925 0.0000 0.0000
0.0000 4.3139 0.0000
0.0000 0.0000 7.0019
Tb Cu Au
2 2 2
Direct
0.2500 0.2500 0.1804 Tb
0.7500 0.7500 0.8196 Tb
0.2500 0.7500 0.5037 Cu
0.7500 0.2500 0.4963 Cu
0.2500 0.2500 0.7460 Au
0.7500 0.7500 0.2540 Au
```

The following is a computed powder XRD pattern of Tb5Cu2Au. It was derived from DFT lattice parameters and positions (PBE), using Cu Kα, 1.54184 Å.
Kinematic intensities with the Lorentz-polarization factor, no thermal factor.

Main lines, in order of falling intensity (2θ = 15–90°):
d_spacing  intensity
2.723  100
2.631  67
2.264  55
3.080  41
1.548  22
2.531  21
1.473  20
3.136  17

Structural model:
```
Tb5Cu2Au
1.0
-3.5797 3.5797 7.7625
3.5797 -3.5797 7.7625
3.5797 3.5797 -7.7625
Tb Cu Au
10 4 2
Direct
0.0000 0.0000 0.0000 Tb
0.0226 0.5226 0.8401 Tb
0.1826 0.0226 0.5000 Tb
0.3174 0.8174 0.8401 Tb
0.4774 0.3174 0.5000 Tb
0.5000 0.5000 0.0000 Tb
0.5226 0.6826 0.5000 Tb
0.6826 0.1826 0.1599 Tb
0.8174 0.9774 0.5000 Tb
0.9774 0.4774 0.1599 Tb
0.1234 0.3766 0.5000 Cu
0.3766 0.8766 0.2533 Cu
0.6234 0.1234 0.7467 Cu
0.8766 0.6234 0.5000 Cu
0.2500 0.2500 0.0000 Au
0.7500 0.7500 0.0000 Au
```

The following is a computed powder XRD pattern of Tb3Cu3Au. It was derived from DFT lattice parameters and positions (PBE), using Cu Kα, 1.54184 Å.
Kinematic intensities with the Lorentz-polarization factor, no thermal factor.

Main lines, in order of falling intensity (2θ = 15–90°):
d_spacing  intensity
2.675  100
2.638  50
2.301  40
2.154  29
1.668  25
3.566  22
2.095  20
1.431  18

Structural model:
```
Tb3Cu3Au
1.0
-1.8270 2.1543 9.5277
1.8270 -2.1543 9.5277
1.8270 2.1543 -9.5277
Tb Cu Au
3 3 1
Direct
0.0000 0.0000 0.0000 Tb
0.3738 0.3738 0.0000 Tb
0.6804 0.1804 0.5000 Tb
0.1145 0.6145 0.5000 Cu
0.5454 0.5454 0.0000 Cu
0.8340 0.8340 0.0000 Cu
0.2496 0.7496 0.5000 Au
```